For Li2MnSiO4, a crystal structure in Alexandria, relaxed with GGA+U gives the computed powder diffractogram in this record (Cu Kα X-rays).
Neutral-atom scattering factors, no anomalous dispersion.

Top 8 peaks for 10° ≤ 2θ ≤ 80°, low angle first:
2theta, I_rel
21.69, 66
25.35, 100
30.54, 68
35.61, 46
38.83, 26
43.50, 33
47.60, 44
56.27, 23

Cell and atoms:
```
data_Li2MnSiO4
_chemical_formula_sum 'Li6 Mn3 Si3 O12'
_symmetry_space_group_name_H-M 'P 31 2 1'
_symmetry_Int_Tables_number 152
_symmetry_space_group_name_Hall 'P 31 2"'
_cell_length_a 5.0426
_cell_length_b 5.0426
_cell_length_c 11.8308
_cell_angle_alpha 90.00
_cell_angle_beta 90.00
_cell_angle_gamma 120.00
loop_
_atom_site_label
_atom_site_type_symbol
_atom_site_fract_x
_atom_site_fract_y
_atom_site_fract_z
Li1 Li 0.1144 0.6753 0.4138
Mn1 Mn 0.0000 0.5434 0.1667
Si1 Si 0.0000 0.7993 0.6667
O1 O 0.0965 0.6593 0.7754
O2 O 0.1390 0.2957 0.3650
```